# 1
Theoretical powder X-ray diffraction pattern
Compound: BaAlCu4O7
Radiation: CuKα
Structure: DFT lattice parameters and positions (PBE)
Peak positions follow from Bragg's law for the DFT cell and can differ from measured ones.

Main lines, by intensity (2θ = 10–90°):
2θ 35.81, I 100, hkl 2 0 1; 2θ 35.02, I 84, hkl 1 1 2; 2θ 32.11, I 61, hkl 1 0 3; 2θ 58.60, I 39, hkl 2 0 5; 2θ 62.03, I 33, hkl 2 2 0; 2θ 36.23, I 27, hkl 0 0 4; 2θ 19.32, I 26, hkl 1 0 1; 2θ 29.86, I 24, hkl 1 1 0; 2θ 56.40, I 22, hkl 3 0 2; 2θ 54.44, I 21, hkl 2 1 3

Structural model:
```
data_BaAlCu4O7
_chemical_formula_sum 'Ba2 Al2 Cu8 O14'
_space_group_name_H-M_alt 'P 63 m c'
_space_group_IT_number 186
_space_group_name_Hall 'P 6c -2c'
_cell_length_a 5.9845
_cell_length_b 5.9845
_cell_length_c 9.9190
_cell_angle_alpha 90.00
_cell_angle_beta 90.00
_cell_angle_gamma 120.00
loop_
_atom_site_label
_atom_site_fract_x
_atom_site_fract_y
_atom_site_fract_z
Ba1 0.3333 0.6667 0.0000
Al1 0.3333 0.6667 0.3783
Cu1 0.0000 0.0000 0.4381
Cu2 0.1773 0.3547 0.6883
O1 0.0000 0.0000 0.2442
O2 0.0300 0.5150 0.2660
O3 0.1798 0.3596 0.4915
```

# 2
Theoretical powder X-ray diffraction pattern
Compound: CeYCo17
Radiation: CuKα
Structure: DFT lattice parameters and positions (PBE)
Peak positions follow from Bragg's law for the DFT cell and can differ from measured ones.

Main lines, by intensity (2θ = 10–90°):
2θ 43.83, I 100, hkl 3 0 3; 2θ 43.50, I 69, hkl 2 2 0; 2θ 49.26, I 39, hkl 2 2 3; 2θ 37.44, I 38, hkl 3 0 0; 2θ 38.81, I 37, hkl 0 2 4; 2θ 44.82, I 34, hkl 0 0 6; 2θ 30.83, I 26, hkl 1 1 3; 2θ 64.20, I 25, hkl 2 2 6; 2θ 45.04, I 19, hkl 2 0 5; 2θ 44.72, I 18, hkl 2 1 4

Structural model:
```
data_CeYCo17
_chemical_formula_sum 'Ce3 Y3 Co51'
_space_group_name_H-M_alt 'R 3 m'
_space_group_IT_number 160
_space_group_name_Hall 'R 3 -2"'
_cell_length_a 8.3215
_cell_length_b 8.3215
_cell_length_c 12.1320
_cell_angle_alpha 90.00
_cell_angle_beta 90.00
_cell_angle_gamma 120.00
loop_
_atom_site_label
_atom_site_fract_x
_atom_site_fract_y
_atom_site_fract_z
Ce1 0.0000 0.0000 0.0000
Y1 0.0000 0.0000 0.6905
Co1 0.0000 0.0000 0.2488
Co2 0.0000 0.0000 0.4444
Co3 0.0012 0.5006 0.1947
Co4 0.0466 0.3789 0.0140
Co5 0.1681 0.3362 0.1820
Co6 0.1702 0.3404 0.8306
```

# 3
Theoretical powder X-ray diffraction pattern
Compound: Tl4AuSe3
Radiation: CuKα
Structure: DFT lattice parameters and positions (PBE)
Peak positions follow from Bragg's law for the DFT cell and can differ from measured ones.

Main lines, by intensity (2θ = 10–90°):
2θ 32.31, I 100, hkl 2 1 3; 2θ 33.66, I 58, hkl 3 1 0; 2θ 63.72, I 21, hkl 5 2 3; 2θ 24.73, I 21, hkl 2 1 1; 2θ 32.83, I 19, hkl 1 1 4; 2θ 56.75, I 14, hkl 3 1 6; 2θ 49.91, I 14, hkl 4 1 3; 2θ 36.22, I 12, hkl 2 0 4; 2θ 52.73, I 12, hkl 4 0 4; 2θ 55.11, I 11, hkl 3 3 4

Structural model:
```
data_Tl4AuSe3
_chemical_formula_sum 'Tl16 Au4 Se12'
_space_group_name_H-M_alt 'I 4/m c m'
_space_group_IT_number 140
_space_group_name_Hall '-I 4 2c'
_cell_length_a 8.4199
_cell_length_b 8.4199
_cell_length_c 12.2746
_cell_angle_alpha 90.00
_cell_angle_beta 90.00
_cell_angle_gamma 90.00
loop_
_atom_site_label
_atom_site_fract_x
_atom_site_fract_y
_atom_site_fract_z
Tl1 0.1505 0.3495 0.1520
Au1 0.0000 0.0000 0.0000
Se1 0.0000 0.0000 0.2500
Se2 0.1611 0.3389 0.5000
```

# 4
Theoretical powder X-ray diffraction pattern
Compound: Gd3I
Radiation: CuKα
Structure: DFT lattice parameters and positions (PBE)
Peak positions follow from Bragg's law for the DFT cell and can differ from measured ones.

Main lines, by intensity (2θ = 10–90°):
2θ 31.17, I 100, hkl 1 1 1; 2θ 36.15, I 50, hkl 2 0 0; 2θ 61.93, I 42, hkl 3 1 1; 2θ 52.05, I 36, hkl 2 2 0; 2θ 85.10, I 18, hkl 3 3 1; 2θ 87.86, I 17, hkl 4 2 0; 2θ 65.01, I 12, hkl 2 2 2; 2θ 76.71, I 6, hkl 4 0 0; 2θ 17.85, I 1, hkl 1 0 0; 2θ 25.35, I 1, hkl 1 1 0

Structural model:
```
data_Gd3I
_chemical_formula_sum 'Gd3 I1'
_space_group_name_H-M_alt 'P m -3 m'
_space_group_IT_number 221
_space_group_name_Hall '-P 4 2 3'
_cell_length_a 4.9693
_cell_length_b 4.9693
_cell_length_c 4.9693
_cell_angle_alpha 90.00
_cell_angle_beta 90.00
_cell_angle_gamma 90.00
loop_
_atom_site_label
_atom_site_fract_x
_atom_site_fract_y
_atom_site_fract_z
Gd1 0.0000 0.0000 0.5000
I1 0.5000 0.5000 0.5000
```

# 5
Theoretical powder X-ray diffraction pattern
Compound: NdMnIn
Radiation: CuKα
Structure: DFT lattice parameters and positions (PBE)
Peak positions follow from Bragg's law for the DFT cell and can differ from measured ones.

Main lines, by intensity (2θ = 10–90°):
2θ 32.11, I 100, hkl 1 0 1; 2θ 39.46, I 51, hkl 1 1 0; 2θ 51.75, I 26, hkl 2 0 1; 2θ 62.35, I 26, hkl 1 1 2; 2θ 66.98, I 23, hkl 2 1 1; 2θ 22.48, I 13, hkl 1 0 0; 2θ 46.21, I 11, hkl 0 0 2; 2θ 89.53, I 10, hkl 3 0 2; 2θ 71.57, I 8, hkl 3 0 0; 2θ 76.63, I 8, hkl 1 0 3

Structural model:
```
data_NdMnIn
_chemical_formula_sum 'Nd1 Mn1 In1'
_space_group_name_H-M_alt 'P -6 m 2'
_space_group_IT_number 187
_space_group_name_Hall 'P -6 2'
_cell_length_a 4.5668
_cell_length_b 4.5668
_cell_length_c 3.9295
_cell_angle_alpha 90.00
_cell_angle_beta 90.00
_cell_angle_gamma 120.00
loop_
_atom_site_label
_atom_site_fract_x
_atom_site_fract_y
_atom_site_fract_z
Nd1 0.0000 0.0000 0.0000
Mn1 0.3333 0.6667 0.5000
In1 0.6667 0.3333 0.5000
```

# 6
Theoretical powder X-ray diffraction pattern
Compound: MgTe4MoW3Se2S2
Radiation: CuKα
Structure: DFT lattice parameters and positions (PBE)
Peak positions follow from Bragg's law for the DFT cell and can differ from measured ones.

Main lines, by intensity (2θ = 10–90°):
2θ 39.67, I 100, hkl 1 0 13; 2θ 34.18, I 78, hkl 1 0 8; 2θ 11.39, I 57, hkl 0 0 6; 2θ 30.44, I 55, hkl 1 0 0; 2θ 54.08, I 42, hkl 1 1 0; 2θ 31.94, I 31, hkl 0 1 5; 2θ 55.04, I 28, hkl 1 1 5; 2θ 37.25, I 24, hkl 0 1 11; 2θ 40.97, I 23, hkl 0 1 14; 2θ 69.11, I 19, hkl 0 2 13

Structural model:
```
data_MgTe4MoW3Se2S2
_chemical_formula_sum 'Mg1 Te4 Mo1 W3 Se2 S2'
_space_group_name_H-M_alt 'P 3 m 1'
_space_group_IT_number 156
_space_group_name_Hall 'P 3 -2"'
_cell_length_a 3.3921
_cell_length_b 3.3921
_cell_length_c 46.6050
_cell_angle_alpha 90.00
_cell_angle_beta 90.00
_cell_angle_gamma 120.00
loop_
_atom_site_label
_atom_site_fract_x
_atom_site_fract_y
_atom_site_fract_z
Mg1 0.0000 0.0000 0.0000
Te1 0.3333 0.6667 0.0646
Te2 0.3333 0.6667 0.1459
Te3 0.3333 0.6667 0.6825
Te4 0.3333 0.6667 0.7635
Mo1 0.3333 0.6667 0.5351
W1 0.3333 0.6667 0.9018
W2 0.6667 0.3333 0.1054
W3 0.6667 0.3333 0.7230
Se1 0.6667 0.3333 0.4997
Se2 0.6667 0.3333 0.5705
S1 0.6667 0.3333 0.8696
S2 0.6667 0.3333 0.9342
```